# 1
Structure and computed X-ray diffraction stick pattern of LaTcN3 (a cell relaxed with PBE; Cu Ka).
Intensities are scaled so that the largest is 100.

Crystal structure
```
data_LaTcN3
_symmetry_space_group_name_H-M 'P 1 2/m 1'
_symmetry_Int_Tables_number 10
_symmetry_space_group_name_Hall '-P 2y'
_cell_length_a 5.709
_cell_length_b 3.553
_cell_length_c 7.464
_cell_angle_alpha 90.00
_cell_angle_beta 109.71
_cell_angle_gamma 90.00
loop_
_atom_site_label
_atom_site_type_symbol
_atom_site_fract_x
_atom_site_fract_y
_atom_site_fract_z
_atom_site_occupancy
La1 La 0.177 0.000 0.310 1
Tc1 Tc 0.322 0.500 0.699 1
N1 N 0.000 0.500 0.500 1
N2 N 0.247 0.500 0.922 1
N3 N 0.295 0.500 0.097 1
N4 N 0.500 0.500 0.500 1
```

Largest 8 diffraction maxima, in order of rising 2θ, 2θ from 10° to 90°:
(hkl)	Position (°2θ)	d_spacing	I_rel
0 0 1	12.60	7.026	55
0 0 2	25.35	3.513	50
1 1 0	30.15	2.964	32
1 1 -1	30.48	2.933	74
2 0 -1	31.37	2.851	43
1 1 1	34.98	2.565	100
1 1 -2	35.82	2.507	82
2 0 -3	41.75	2.164	31

=====

# 2
Structure and computed X-ray diffraction stick pattern of Ce2Nd2O7 (a cell relaxed with PBE; Cu Ka).
Intensities are scaled so that the largest is 100.

Crystal structure
```
data_Ce2Nd2O7
_symmetry_space_group_name_H-M 'P 1'
_symmetry_Int_Tables_number 1
_symmetry_space_group_name_Hall 'P 1'
_cell_length_a 9.574
_cell_length_b 9.588
_cell_length_c 9.669
_cell_angle_alpha 109.25
_cell_angle_beta 109.81
_cell_angle_gamma 108.98
loop_
_atom_site_label
_atom_site_type_symbol
_atom_site_fract_x
_atom_site_fract_y
_atom_site_fract_z
_atom_site_occupancy
Ce1 Ce 0.000 0.000 0.000 1
Ce2 Ce 0.002 0.252 0.746 1
Ce3 Ce 0.005 0.750 0.247 1
Ce4 Ce 0.033 0.528 0.521 1
Ce5 Ce 0.255 0.258 0.501 1
Ce6 Ce 0.265 0.010 0.755 1
Ce7 Ce 0.504 0.502 0.979 1
Ce8 Ce 0.755 0.506 0.745 1
Nd1 Nd 0.205 0.485 0.230 1
Nd2 Nd 0.240 0.734 0.993 1
Nd3 Nd 0.479 0.263 0.247 1
Nd4 Nd 0.501 0.021 0.514 1
Nd5 Nd 0.512 0.766 0.781 1
Nd6 Nd 0.747 0.253 0.977 1
Nd7 Nd 0.776 0.980 0.256 1
Nd8 Nd 0.801 0.774 0.524 1
O1 O 0.009 0.496 0.749 1
O2 O 0.016 0.994 0.249 1
O3 O 0.031 0.013 0.766 1
O4 O 0.034 0.769 0.509 1
O5 O 0.248 0.262 0.741 1
O6 O 0.248 0.265 0.248 1
O7 O 0.250 0.762 0.757 1
O8 O 0.253 0.023 0.514 1
O9 O 0.260 0.761 0.263 1
O10 O 0.269 0.530 0.508 1
O11 O 0.276 0.003 0.032 1
O12 O 0.280 0.492 0.020 1
O13 O 0.499 0.996 0.740 1
O14 O 0.500 0.250 0.488 1
O15 O 0.502 0.496 0.744 1
O16 O 0.507 0.273 0.013 1
O17 O 0.508 0.759 0.017 1
O18 O 0.740 0.993 0.497 1
O19 O 0.750 0.760 0.743 1
O20 O 0.753 0.726 0.247 1
O21 O 0.755 0.512 0.987 1
O22 O 0.760 0.268 0.746 1
O23 O 0.761 0.496 0.477 1
O24 O 0.771 0.025 0.027 1
O25 O 0.974 0.488 0.249 1
O26 O 0.990 0.749 0.988 1
O27 O 0.992 0.241 0.976 1
O28 O 0.999 0.261 0.482 1
```

Largest 8 diffraction maxima, in order of rising 2θ, 2θ from 10° to 90°:
(hkl)	Position (°2θ)	d_spacing	I_rel
1 1 -3	27.68	3.223	100
1 -3 1	27.94	3.193	97
-2 2 2	32.14	2.785	42
2 -2 2	32.37	2.766	19
0 0 4	45.91	1.977	16
0 4 0	46.10	1.969	33
0 4 -4	46.28	1.962	31
1 5 -3	54.78	1.676	25

=====

# 3
Structure and computed X-ray diffraction stick pattern of Ba2BiSbO6 (a cell relaxed with PBE; Cu Ka).
Intensities are scaled so that the largest is 100.

Crystal structure
```
data_Ba2BiSbO6
_symmetry_space_group_name_H-M 'P n -3'
_symmetry_Int_Tables_number 201
_cell_length_a 8.668
_cell_length_b 8.668
_cell_length_c 8.668
_cell_angle_alpha 90.00
_cell_angle_beta 90.00
_cell_angle_gamma 90.00
loop_
_symmetry_equiv_pos_as_xyz
'x,y,z'
'-x,-y,-z'
'-x+1/2,-y+1/2,z'
'x+1/2,y+1/2,-z'
'x,-y+1/2,-z+1/2'
'-x,y+1/2,z+1/2'
'-x+1/2,y,-z+1/2'
'x+1/2,-y,z+1/2'
'z,x,y'
'-z,-x,-y'
'z,-x+1/2,-y+1/2'
'-z,x+1/2,y+1/2'
'-z+1/2,x,-y+1/2'
'z+1/2,-x,y+1/2'
'-z+1/2,-x+1/2,y'
'z+1/2,x+1/2,-y'
'y,z,x'
'-y,-z,-x'
'-y+1/2,z,-x+1/2'
'y+1/2,-z,x+1/2'
'-y+1/2,-z+1/2,x'
'y+1/2,z+1/2,-x'
'y,-z+1/2,-x+1/2'
'-y,z+1/2,x+1/2'
loop_
_atom_site_label
_atom_site_type_symbol
_atom_site_fract_x
_atom_site_fract_y
_atom_site_fract_z
_atom_site_occupancy
Ba1 Ba 0.250 0.250 0.250 1
Ba2 Ba 0.250 0.250 0.750 1
Bi1 Bi 0.000 0.000 0.000 1
Sb1 Sb 0.000 0.000 0.500 1
O1 O 0.020 0.522 0.768 1
```

Largest 8 diffraction maxima, in order of rising 2θ, 2θ from 10° to 90°:
(hkl)	Position (°2θ)	d_spacing	I_rel
2 0 0	20.49	4.334	4
2 2 0	29.14	3.065	100
4 0 0	41.68	2.167	28
4 2 2	51.66	1.769	42
4 4 0	60.41	1.532	17
6 2 0	68.46	1.371	19
4 4 4	76.08	1.251	6
6 2 4	83.45	1.158	23